Starting from a crystal structure in Alexandria, relaxed with PBE, the X-ray powder pattern of K2LaClO2 was computed for copper Kα.
Intensities are scaled so that the largest is 100.

Peak list (10 most intense, 10 to 80 degrees two-theta, by angle)
| Position (°2θ) | I/Imax | h k l |
| --- | --- | --- |
| 13.5 | 65 | 0 0 1 |
| 19.0 | 26 | 1 0 0 |
| 23.4 | 35 | 1 0 1 |
| 27.0 | 66 | 1 1 0 |
| 33.3 | 100 | 1 0 2 |
| 38.5 | 42 | 2 0 0 |
| 41.0 | 16 | 2 0 1 |
| 51.8 | 53 | 2 1 2 |
| 62.9 | 15 | 3 1 0 |
| 79.5 | 14 | 3 2 2 |

Structural model:
```
data_K2LaClO2
_chemical_formula_sum 'K2 La1 Cl1 O2'
_symmetry_space_group_name_H-M 'P 4/m m m'
_symmetry_Int_Tables_number 123
_symmetry_space_group_name_Hall '-P 4 2'
_cell_length_a 4.673
_cell_length_b 4.673
_cell_length_c 6.573
_cell_angle_alpha 90.00
_cell_angle_beta 90.00
_cell_angle_gamma 90.00
loop_
_atom_site_label
_atom_site_type_symbol
_atom_site_fract_x
_atom_site_fract_y
_atom_site_fract_z
K1 K 0.000 0.000 0.244
La1 La 0.500 0.500 0.000
Cl1 Cl 0.500 0.500 0.500
O1 O 0.000 0.500 0.000
```

Starting from a crystal structure in Alexandria, relaxed with PBE, the X-ray powder pattern of KLaTl2Cl6 was computed for copper Kα.
Intensities are scaled so that the largest is 100.

Peak list (10 most intense, 10 to 80 degrees two-theta, by angle)
| Position (°2θ) | I/Imax | h k l |
| --- | --- | --- |
| 13.4 | 34 | 0 1 1 |
| 21.5 | 32 | 0 2 0 |
| 22.3 | 84 | 1 1 1 |
| 23.0 | 100 | 1 1 -3 |
| 23.3 | 36 | 2 0 -2 |
| 32.0 | 40 | 2 2 -2 |
| 32.4 | 28 | 0 0 4 |
| 35.5 | 26 | 1 3 0 |
| 39.9 | 31 | 3 1 -1 |
| 41.2 | 51 | 3 1 -5 |

Structural model:
```
data_KLaTl2Cl6
_chemical_formula_sum 'K2 La2 Tl4 Cl12'
_symmetry_space_group_name_H-M 'P 1 21/c 1'
_symmetry_Int_Tables_number 14
_cell_length_a 7.633
_cell_length_b 8.248
_cell_length_c 13.165
_cell_angle_alpha 90.00
_cell_angle_beta 123.03
_cell_angle_gamma 90.00
loop_
_symmetry_equiv_pos_as_xyz
'x,y,z'
'-x,-y,-z'
'-x,y+1/2,-z+1/2'
'x,-y+1/2,z+1/2'
loop_
_atom_site_label
_atom_site_type_symbol
_atom_site_fract_x
_atom_site_fract_y
_atom_site_fract_z
K1 K 0.000 0.000 0.000
La1 La 0.500 0.000 0.500
Tl1 Tl 0.210 0.066 0.732
Cl1 Cl 0.150 0.174 0.455
Cl2 Cl 0.247 0.722 0.418
Cl3 Cl 0.397 0.066 0.265
```

Starting from a crystal structure in Alexandria, relaxed with PBE, the X-ray powder pattern of KLi2Cl3 was computed for copper Kα.
Intensities are scaled so that the largest is 100.

Peak list (10 most intense, 10 to 80 degrees two-theta, by angle)
| Position (°2θ) | I/Imax | h k l |
| --- | --- | --- |
| 29.0 | 40 | 1 3 1 |
| 29.2 | 100 | 2 2 1 |
| 29.6 | 9 | 0 4 0 |
| 31.9 | 26 | 0 0 2 |
| 34.2 | 11 | 3 1 1 |
| 39.3 | 9 | 4 0 0 |
| 48.1 | 17 | 3 5 0 |
| 51.5 | 9 | 4 0 2 |
| 55.2 | 13 | 2 2 3 |
| 57.7 | 10 | 5 3 1 |

Structural model:
```
data_KLi2Cl3
_chemical_formula_sum 'K4 Li8 Cl12'
_symmetry_space_group_name_H-M 'C m c m'
_symmetry_Int_Tables_number 63
_symmetry_space_group_name_Hall '-C 2c 2'
_cell_length_a 9.167
_cell_length_b 12.064
_cell_length_c 5.603
_cell_angle_alpha 90.00
_cell_angle_beta 90.00
_cell_angle_gamma 90.00
loop_
_atom_site_label
_atom_site_type_symbol
_atom_site_fract_x
_atom_site_fract_y
_atom_site_fract_z
K1 K 0.000 0.206 0.250
Li1 Li 0.166 0.500 0.000
Cl1 Cl 0.000 0.401 0.750
Cl2 Cl 0.212 0.119 0.750
```